For K4TaSe5, a cell relaxed with PBE gives the computed XRD peak list in this record (Cu Kα X-rays).
Peak positions follow from Bragg's law for the DFT cell and can differ from measured ones.

Main lines, sorted by position (15 to 90 degrees two-theta):
2θ (°)  intensity
15.82  100
23.73  25
26.48  61
27.96  98
34.71  24
38.88  62
39.16  29
39.95  40
45.12  24
48.57  27

Structural model:
```
K4TaSe5
1.0
-5.0458 5.0458 3.3666
5.0458 -5.0458 3.3666
5.0458 5.0458 -3.3666
K Ta Se
4 1 5
Cartesian
3.0168 0.9241 0.0000
4.1216 -2.0290 3.3666
0.9241 7.0748 0.0000
2.0290 4.1216 3.3666
0.0000 0.0000 3.9534
5.7977 2.6900 -0.0379
2.6900 4.2939 -0.0379
2.3558 0.7519 3.3287
-0.7519 2.3558 3.3287
0.0000 0.0000 6.3581
```